Ag3I4: simulated powder diffractogram (λ = 1.5418 Å (Cu Kα)), based on a structure optimized by DFT (GGA-PBE).
Lines closer than 0.1° are merged.

Atomic structure:
```
Ag3I4
1.0
-3.1386 3.1386 6.2445
3.1386 -3.1386 6.2445
3.1386 3.1386 -6.2445
Ag I
3 4
Direct
0.0000 0.0000 0.0000 Ag
0.2500 0.7500 0.5000 Ag
0.7500 0.2500 0.5000 Ag
0.1571 0.1571 0.5449 I
0.3878 0.8429 0.0000 I
0.6122 0.6122 0.4551 I
0.8429 0.3878 0.0000 I
```

Largest 10 diffraction maxima, in order of rising 2θ, 15 to 90 degrees two-theta:
| d (Å) | 2θ/deg | intensity |
| --- | --- | --- |
| 3.618 | 24.6 | 100 |
| 2.739 | 32.7 | 9 |
| 2.219 | 40.7 | 24 |
| 2.214 | 40.8 | 47 |
| 1.892 | 48.1 | 28 |
| 1.885 | 48.3 | 14 |
| 1.569 | 58.8 | 7 |
| 1.437 | 64.9 | 11 |
| 1.280 | 74.1 | 13 |
| 1.277 | 74.3 | 7 |